1.
Diffraction record for La3Tm6In. The XRD peak list is simulated, not measured: it uses a crystal structure in Alexandria, relaxed with GGA-PBE and CuKα.
Intensities are scaled so that the largest is 100.

The 10 most intense peaks (10 to 90 degrees two-theta), by intensity:
index, two_theta, d/Å, I_rel
3 3 1, 30.1, 2.970, 100
1 5 1, 32.9, 2.721, 100
2 0 2, 31.4, 2.853, 77
2 4 1, 30.2, 2.957, 74
5 1 0, 34.1, 2.626, 43
1 1 2, 29.6, 3.014, 40
5 3 3, 58.7, 1.573, 37
0 4 3, 49.3, 1.849, 32
3 1 2, 35.4, 2.539, 31
4 4 1, 38.4, 2.344, 28

Structure:
Lattice parameters (Å, degrees): 13.324 15.478 6.315 90.00 90.00 90.00
Space group Cmc2_1 (No. 36)
One atom of each set of equivalent atoms:
La 0.000 0.141 0.000
La 0.200 0.412 0.339
Tm 0.000 0.253 0.498
Tm 0.000 0.452 0.664
Tm 0.118 0.059 0.498
Tm 0.205 0.304 0.813
In 0.000 0.348 0.064



2.
Diffraction record for La2Tm2In3. The XRD peak list is simulated, not measured: it uses a crystal structure in Alexandria, relaxed with GGA-PBE and CuKα.
Intensities are scaled so that the largest is 100.

The 10 most intense peaks (10 to 90 degrees two-theta), by intensity:
index, two_theta, d/Å, I_rel
1 7 0, 31.3, 2.857, 100
1 1 1, 32.5, 2.755, 77
2 0 0, 38.0, 2.369, 35
0 6 1, 33.9, 2.645, 33
1 7 2, 63.4, 1.466, 26
1 3 1, 34.1, 2.631, 20
0 8 1, 39.0, 2.309, 19
2 6 1, 51.8, 1.765, 19
3 1 1, 65.2, 1.431, 16
1 5 1, 37.1, 2.425, 16

Structure:
Lattice parameters (Å, degrees): 4.739 25.061 3.417 90.00 90.00 90.00
Space group Cmmm (No. 65)
One atom of each set of equivalent atoms:
La 0.000 0.075 0.000
Tm 0.000 0.206 0.000
In 0.000 0.343 0.500
In 0.000 0.500 0.500



3.
Diffraction record for LaTm2In2. The XRD peak list is simulated, not measured: it uses a crystal structure in Alexandria, relaxed with GGA-PBE and CuKα.
Intensities are scaled so that the largest is 100.

The 10 most intense peaks (10 to 90 degrees two-theta), by intensity:
index, two_theta, d/Å, I_rel
1 5 0, 32.0, 2.795, 100
1 1 1, 36.8, 2.445, 62
0 6 1, 33.7, 2.658, 61
1 11 1, 56.1, 1.640, 36
1 5 2, 62.2, 1.493, 36
0 4 1, 29.3, 3.051, 28
0 10 0, 37.1, 2.421, 26
2 6 1, 64.8, 1.439, 18
1 3 1, 38.3, 2.351, 16
0 0 2, 51.8, 1.766, 14

Structure:
Lattice parameters (Å, degrees): 3.423 24.206 3.532 90.00 90.00 90.00
Space group Cmmm (No. 65)
One atom of each set of equivalent atoms:
La 0.000 0.000 0.000
Tm 0.000 0.187 0.000
In 0.000 0.400 0.500



4.
Diffraction record for La6Tm5In. The XRD peak list is simulated, not measured: it uses a crystal structure in Alexandria, relaxed with GGA-PBE and CuKα.
Intensities are scaled so that the largest is 100.

The 10 most intense peaks (10 to 90 degrees two-theta), by intensity:
index, two_theta, d/Å, I_rel
1 2 3, 30.5, 2.933, 100
2 4 0, 51.3, 1.780, 23
0 0 6, 34.6, 2.590, 18
2 0 0, 34.7, 2.583, 18
0 4 0, 36.6, 2.454, 15
1 2 9, 59.5, 1.554, 15
3 2 3, 59.6, 1.550, 15
1 6 3, 62.1, 1.494, 13
2 0 6, 49.9, 1.829, 13
2 4 6, 63.4, 1.467, 12

Structure:
Lattice parameters (Å, degrees): 5.165 9.818 15.543 90.00 90.00 90.00
Space group Immm (No. 71)
One atom of each set of equivalent atoms:
La 0.000 0.245 0.000
La 0.000 0.253 0.332
Tm 0.000 0.000 0.169
Tm 0.000 0.000 0.500
Tm 0.000 0.500 0.165
In 0.000 0.500 0.500



5.
Diffraction record for LaTm2In9. The XRD peak list is simulated, not measured: it uses a crystal structure in Alexandria, relaxed with GGA-PBE and CuKα.
Intensities are scaled so that the largest is 100.

The 10 most intense peaks (10 to 90 degrees two-theta), by intensity:
index, two_theta, d/Å, I_rel
1 1 3, 33.2, 2.698, 100
2 0 0, 38.4, 2.343, 34
3 1 3, 66.2, 1.412, 26
2 0 6, 55.7, 1.650, 22
0 0 6, 38.7, 2.326, 16
1 1 9, 66.6, 1.404, 12
2 2 0, 55.5, 1.657, 11
2 2 6, 69.7, 1.349, 11
4 0 0, 82.3, 1.171, 4
0 0 12, 83.1, 1.163, 2

Structure:
Lattice parameters (Å, degrees): 4.685 4.685 13.954 90.00 90.00 90.00
Space group P4/mmm (No. 123)
One atom of each set of equivalent atoms:
La 0.000 0.000 0.000
Tm 0.000 0.000 0.338
In 0.000 0.500 0.174
In 0.000 0.500 0.500
In 0.500 0.500 0.000
In 0.500 0.500 0.335



6.
Diffraction record for LaTm3In4. The XRD peak list is simulated, not measured: it uses a crystal structure in Alexandria, relaxed with GGA-PBE and CuKα.
Intensities are scaled so that the largest is 100.

The 10 most intense peaks (10 to 90 degrees two-theta), by intensity:
index, two_theta, d/Å, I_rel
2 2 1, 33.9, 2.645, 100
4 0 0, 33.3, 2.691, 31
6 2 1, 59.9, 1.545, 19
0 0 2, 32.4, 2.760, 19
4 0 2, 47.2, 1.927, 13
1 0 2, 33.5, 2.673, 11
4 4 0, 61.6, 1.507, 10
1 2 1, 30.6, 2.923, 9
0 4 0, 50.2, 1.818, 9
4 4 2, 71.3, 1.322, 7

Structure:
Lattice parameters (Å, degrees): 10.764 7.273 5.519 90.00 90.00 90.00
Space group Pmma (No. 51)
One atom of each set of equivalent atoms:
La 0.000 0.000 0.000
Tm 0.000 0.500 0.000
Tm 0.250 0.000 0.434
Tm 0.250 0.500 0.413
In 0.000 0.265 0.500
In 0.250 0.265 0.912



7.
Diffraction record for LaTmIn. The XRD peak list is simulated, not measured: it uses a crystal structure in Alexandria, relaxed with GGA-PBE and CuKα.
Intensities are scaled so that the largest is 100.

The 10 most intense peaks (10 to 90 degrees two-theta), by intensity:
index, two_theta, d/Å, I_rel
0 1 1, 30.5, 2.930, 100
1 1 0, 33.8, 2.654, 83
2 0 1, 46.2, 1.967, 32
1 2 1, 58.4, 1.580, 32
1 1 2, 59.8, 1.545, 24
3 0 0, 60.4, 1.532, 15
3 1 1, 79.3, 1.209, 13
3 0 2, 80.5, 1.193, 10
1 1 1, 41.5, 2.176, 10
2 2 0, 71.0, 1.327, 9

Structure:
Lattice parameters (Å, degrees): 5.3080 5.3080 3.8017 90.00 90.00 120.00
Space group P3m1 (No. 156)
One atom of each set of equivalent atoms:
La 0.0000 0.0000 0.0000
Tm 0.3333 0.6667 0.4645
In 0.6667 0.3333 0.5635



8.
Diffraction record for La2Tm6In. The XRD peak list is simulated, not measured: it uses a crystal structure in Alexandria, relaxed with GGA-PBE and CuKα.
Intensities are scaled so that the largest is 100.

The 10 most intense peaks (10 to 90 degrees two-theta), by intensity:
index, two_theta, d/Å, I_rel
3 0 1, 32.1, 2.790, 100
0 0 2, 32.5, 2.759, 31
2 3 0, 31.9, 2.804, 20
3 0 3, 57.7, 1.599, 19
2 3 2, 46.2, 1.966, 15
0 3 1, 30.6, 2.918, 13
6 0 0, 57.0, 1.615, 10
1 6 1, 56.9, 1.618, 10
2 3 1, 35.9, 2.500, 8
2 6 0, 56.8, 1.620, 7

Structure:
Lattice parameters (Å, degrees): 9.692 10.313 5.517 90.00 90.00 90.00
Space group Pnnm (No. 58)
One atom of each set of equivalent atoms:
La 0.186 0.250 0.000
Tm 0.014 0.172 0.500
Tm 0.144 0.600 0.000
Tm 0.176 0.924 0.000
In 0.000 0.500 0.500



9.
Diffraction record for La4TmIn5. The XRD peak list is simulated, not measured: it uses a crystal structure in Alexandria, relaxed with GGA-PBE and CuKα.
Intensities are scaled so that the largest is 100.

The 10 most intense peaks (10 to 90 degrees two-theta), by intensity:
index, two_theta, d/Å, I_rel
1 0 5, 32.2, 2.782, 100
1 1 0, 32.9, 2.721, 50
2 1 5, 58.3, 1.583, 36
2 0 0, 47.2, 1.924, 18
1 1 10, 56.9, 1.618, 16
2 0 10, 67.3, 1.391, 9
0 0 10, 45.0, 2.012, 8
3 1 0, 78.6, 1.217, 8
3 0 5, 78.2, 1.222, 8
2 2 0, 69.0, 1.361, 6

Structure:
Lattice parameters (Å, degrees): 3.849 3.849 20.124 90.00 90.00 90.00
Space group P4/mmm (No. 123)
One atom of each set of equivalent atoms:
La 0.000 0.000 0.103
La 0.000 0.000 0.310
Tm 0.000 0.000 0.500
In 0.500 0.500 0.000
In 0.500 0.500 0.207
In 0.500 0.500 0.414



10.
Diffraction record for La2TmIn. The XRD peak list is simulated, not measured: it uses a crystal structure in Alexandria, relaxed with GGA-PBE and CuKα.
Intensities are scaled so that the largest is 100.

The 10 most intense peaks (10 to 90 degrees two-theta), by intensity:
index, two_theta, d/Å, I_rel
1 2 1, 33.7, 2.663, 100
1 0 2, 33.0, 2.717, 90
2 0 0, 31.1, 2.873, 54
0 2 1, 29.7, 3.005, 52
2 2 1, 43.6, 2.077, 36
1 4 2, 64.1, 1.454, 27
3 2 1, 57.0, 1.615, 22
2 2 3, 61.7, 1.504, 21
3 0 2, 56.6, 1.627, 20
0 2 3, 51.8, 1.765, 18

Structure:
Lattice parameters (Å, degrees): 5.746 6.882 6.167 90.00 90.00 90.00
Space group Pmmn (No. 59, origin choice 2)
One atom of each set of equivalent atoms:
La 0.250 0.005 0.137
Tm 0.250 0.250 0.627
In 0.250 0.750 0.649



11.
Diffraction record for LaTmIn4. The XRD peak list is simulated, not measured: it uses a crystal structure in Alexandria, relaxed with GGA-PBE and CuKα.
Intensities are scaled so that the largest is 100.

The 10 most intense peaks (10 to 90 degrees two-theta), by intensity:
index, two_theta, d/Å, I_rel
2 3 1, 34.1, 2.633, 100
2 1 1, 31.0, 2.884, 76
1 4 1, 33.2, 2.699, 56
1 7 0, 35.5, 2.528, 52
4 2 0, 36.1, 2.489, 47
1 3 1, 30.5, 2.933, 46
3 5 0, 35.8, 2.507, 42
0 4 1, 32.0, 2.795, 41
0 0 2, 51.7, 1.769, 31
0 8 0, 39.5, 2.281, 28

Structure:
Lattice parameters (Å, degrees): 10.350 18.247 3.537 90.00 90.00 90.00
Space group Pbam (No. 55)
One atom of each set of equivalent atoms:
La 0.091 0.139 0.000
Tm 0.120 0.423 0.000
In 0.002 0.292 0.500
In 0.129 0.968 0.500
In 0.146 0.571 0.500
In 0.211 0.807 0.500



12.
Diffraction record for La2Y8In. The XRD peak list is simulated, not measured: it uses a crystal structure in Alexandria, relaxed with GGA-PBE and CuKα.
Intensities are scaled so that the largest is 100.

The 10 most intense peaks (10 to 90 degrees two-theta), by intensity:
index, two_theta, d/Å, I_rel
6 0 -1, 31.9, 2.804, 100
2 2 -1, 31.6, 2.831, 99
0 0 2, 30.7, 2.915, 67
4 2 0, 32.5, 2.757, 46
2 2 1, 32.1, 2.791, 39
7 1 0, 36.2, 2.484, 27
1 1 1, 20.8, 4.279, 25
0 0 4, 63.8, 1.459, 22
8 2 -2, 56.1, 1.640, 21
6 0 1, 33.3, 2.689, 20

Structure:
Lattice parameters (Å, degrees): 18.692 6.833 5.840 90.00 92.93 90.00
Space group C2/m (No. 12)
One atom of each set of equivalent atoms:
La 0.222 0.000 0.258
Y 0.052 0.000 0.227
Y 0.119 0.242 0.738
Y 0.167 0.500 0.226
In 0.000 0.500 0.000